# 1
Simulated X-ray powder pattern of NaPr3Mn4O12 for Cu Ka, from a GGA+U-relaxed structure.
Lines closer than 0.1° are merged.

Cell and atoms:
```
NaPr3Mn4O12
1.0
5.508 0.000 0.000
0.000 7.733 0.000
-0.037 0.000 5.517
Na Pr Mn O
1 3 4 12
direct
0.000 0.000 0.000
0.013 0.500 0.943
0.502 0.500 0.448
0.514 0.000 0.515
0.005 0.244 0.475
0.005 0.756 0.475
0.506 0.245 0.981
0.506 0.755 0.981
0.079 0.000 0.460
0.233 0.298 0.204
0.233 0.702 0.204
0.284 0.290 0.699
0.284 0.710 0.699
0.433 0.000 0.963
0.577 0.500 0.985
0.711 0.223 0.271
0.711 0.777 0.271
0.779 0.217 0.755
0.779 0.783 0.755
0.940 0.500 0.491
```

Top 10 peaks for 10° ≤ 2θ ≤ 80°, in order of falling intensity:
2θ/deg, I/Imax
32.6, 100
32.7, 98
32.5, 95
40.2, 41
58.3, 41
57.9, 39
58.2, 36
47.0, 31
46.4, 30
46.8, 30

# 2
Simulated X-ray powder pattern of NaSrPrMnO6 for Cu Ka, from a GGA+U-relaxed structure.
Lines closer than 0.1° are merged.

Cell and atoms:
```
NaSrPrMnO6
1.0
0.000 4.209 4.209
4.209 0.000 4.209
4.209 4.209 0.000
Na Sr Pr Mn O
1 1 1 1 6
direct
0.000 0.000 0.000
0.500 0.500 0.500
0.750 0.750 0.750
0.250 0.250 0.250
0.025 0.025 0.475
0.025 0.475 0.025
0.025 0.475 0.475
0.475 0.025 0.025
0.475 0.025 0.475
0.475 0.475 0.025
```

Top 10 peaks for 10° ≤ 2θ ≤ 80°, in order of falling intensity:
2θ/deg, I/Imax
30.0, 100
53.3, 39
43.0, 38
18.3, 24
21.1, 24
62.4, 22
35.4, 20
70.8, 18
47.1, 12
48.4, 8

# 3
Simulated X-ray powder pattern of NaMn2S2O8 for Cu Ka, from a GGA+U-relaxed structure.
Lines closer than 0.1° are merged.

Cell and atoms:
```
NaMn2S2O8
1.0
6.393 0.000 0.000
-2.990 7.233 0.000
-3.091 -2.859 7.801
Na Mn S O
2 4 4 16
direct
0.066 0.201 0.403
0.934 0.799 0.597
0.000 0.000 0.000
0.284 0.801 0.275
0.500 0.000 0.000
0.716 0.199 0.725
0.260 0.262 0.793
0.452 0.721 0.666
0.548 0.279 0.334
0.740 0.738 0.207
0.019 0.831 0.347
0.122 0.559 0.231
0.225 0.876 0.070
0.236 0.094 0.874
0.278 0.242 0.221
0.331 0.758 0.782
0.387 0.229 0.682
0.487 0.883 0.584
0.513 0.117 0.416
0.613 0.771 0.318
0.669 0.242 0.218
0.722 0.758 0.779
0.764 0.906 0.126
0.775 0.124 0.930
0.878 0.441 0.769
0.981 0.169 0.653
```

Top 10 peaks for 10° ≤ 2θ ≤ 80°, in order of falling intensity:
2θ/deg, I/Imax
13.0, 100
20.1, 32
28.3, 32
35.9, 21
26.2, 20
32.2, 17
22.8, 17
40.8, 17
27.9, 16
32.4, 16